1.
This entry pairs a crystal structure of KCeCd with its simulated PXRD pattern. Radiation: Cu Kα, 1.54184 Å. Structure: a crystal structure in Alexandria, relaxed with PBE.
Kinematic intensities with the Lorentz-polarization factor, no thermal factor.

Crystal structure
a = 18.7619 Å, b = 3.5707 Å, c = 6.1449 Å
α = 90.00°, β = 90.00°, γ = 90.00°
Positions (direct):
K (0.1604, 0.0000, 0.0000)
K (0.1604, 0.5000, 0.5000)
K (0.8396, 0.0000, 0.0000)
K (0.8396, 0.5000, 0.5000)
Ce (0.3593, 0.0000, 0.6335)
Ce (0.3593, 0.5000, 0.1335)
Ce (0.6407, 0.0000, 0.6335)
Ce (0.6407, 0.5000, 0.1335)
Cd (0.0000, 0.0000, 0.6643)
Cd (0.0000, 0.5000, 0.1643)
Cd (0.5000, 0.0000, 0.9680)
Cd (0.5000, 0.5000, 0.4680)

Main lines, sorted by position (2θ from 5° to 70°):
d [Å], Rel. int., hkl
9.381, 34, 2 0 0
6.254, 19, 3 0 0
3.127, 31, 6 0 0
3.087, 31, 0 1 1
3.072, 17, 0 0 2
2.768, 100, 3 1 1
2.758, 46, 3 0 2
1.777, 18, 0 1 3
1.544, 17, 6 1 3
1.492, 24, 3 0 4

2.
This entry pairs a crystal structure of Cs4P2PdSe8 with its simulated PXRD pattern. Radiation: Cu Kα, 1.54184 Å. Structure: a crystal structure in Alexandria, relaxed with PBE.
Kinematic intensities with the Lorentz-polarization factor, no thermal factor.

Crystal structure
a = 7.7022 Å, b = 13.9442 Å, c = 10.4331 Å
α = 90.00°, β = 94.37°, γ = 90.00°
Positions (direct):
Cs (0.1761, 0.1293, 0.1675)
Cs (0.1761, 0.3707, 0.6675)
Cs (0.2768, 0.6478, 0.9695)
Cs (0.2768, 0.8522, 0.4695)
Cs (0.7232, 0.1478, 0.5305)
Cs (0.7232, 0.3522, 0.0305)
Cs (0.8239, 0.6293, 0.3325)
Cs (0.8239, 0.8707, 0.8325)
P (0.2376, 0.0832, 0.7567)
P (0.2376, 0.4168, 0.2567)
P (0.7624, 0.5832, 0.7433)
P (0.7624, 0.9168, 0.2433)
Pd (0.5000, 0.0000, 0.0000)
Pd (0.5000, 0.5000, 0.5000)
Se (0.0077, 0.6304, 0.6701)
Se (0.0077, 0.8696, 0.1701)
Se (0.2401, 0.1100, 0.5506)
Se (0.2401, 0.3900, 0.0506)
Se (0.3070, 0.5695, 0.3218)
Se (0.3070, 0.9305, 0.8218)
Se (0.4766, 0.1468, 0.8670)
Se (0.4766, 0.3532, 0.3670)
Se (0.5234, 0.6468, 0.6330)
Se (0.5234, 0.8532, 0.1330)
Se (0.6930, 0.0695, 0.1782)
Se (0.6930, 0.4305, 0.6782)
Se (0.7599, 0.6100, 0.9494)
Se (0.7599, 0.8900, 0.4494)
Se (0.9923, 0.1304, 0.8299)
Se (0.9923, 0.3696, 0.3299)

Main lines, sorted by position (2θ from 5° to 70°):
d [Å], Rel. int., hkl
4.251, 43, 1 1 -2
3.764, 44, 1 3 -1
3.572, 100, 2 1 -1
3.486, 100, 0 4 0
3.365, 88, 0 1 3
3.127, 42, 2 1 -2
3.008, 34, 1 4 1
2.916, 54, 2 1 2
2.779, 83, 0 3 3
2.266, 38, 2 4 2

3.
This entry pairs a crystal structure of CaFeOs with its simulated PXRD pattern. Radiation: Cu Kα, 1.54184 Å. Structure: a crystal structure in Alexandria, relaxed with PBE.
Kinematic intensities with the Lorentz-polarization factor, no thermal factor.

Crystal structure
a = 3.0359 Å, b = 3.0315 Å, c = 12.0131 Å
α = 90.00°, β = 90.06°, γ = 90.00°
Positions (direct):
Ca (0.2485, 0.2500, 0.1502)
Ca (0.7515, 0.7500, 0.8498)
Fe (0.2497, 0.2500, 0.4405)
Fe (0.7503, 0.7500, 0.5595)
Os (0.2508, 0.2500, 0.6691)
Os (0.7492, 0.7500, 0.3309)

Main lines, sorted by position (2θ from 5° to 70°):
d [Å], Rel. int., hkl
12.013, 100, 0 0 1
6.007, 7, 0 0 2
4.004, 8, 0 0 3
2.941, 13, 1 0 1
2.708, 23, 1 0 -2
2.145, 19, 1 1 0
2.134, 29, 1 0 4
2.112, 7, 1 1 -1
1.883, 9, 1 0 -5
1.517, 6, 2 0 0

4.
This entry pairs a crystal structure of Li13Ag2 with its simulated PXRD pattern. Radiation: Cu Kα, 1.54184 Å. Structure: a crystal structure in Alexandria, relaxed with PBE.
Kinematic intensities with the Lorentz-polarization factor, no thermal factor.

Crystal structure
a = 5.1512 Å, b = 7.4376 Å, c = 7.9813 Å
α = 64.32°, β = 89.72°, γ = 84.38°
Positions (direct):
Li (0.0000, 0.0000, 0.0000)
Li (0.1413, 0.4871, 0.7564)
Li (0.2114, 0.1976, 0.1912)
Li (0.2503, 0.9311, 0.5975)
Li (0.3169, 0.6519, 0.0200)
Li (0.3692, 0.3881, 0.4277)
Li (0.4516, 0.1309, 0.8003)
Li (0.5484, 0.8691, 0.1997)
Li (0.6308, 0.6119, 0.5723)
Li (0.6831, 0.3481, 0.9800)
Li (0.7497, 0.0689, 0.4025)
Li (0.7886, 0.8024, 0.8088)
Li (0.8587, 0.5129, 0.2436)
Ag (0.0880, 0.7573, 0.3747)
Ag (0.9120, 0.2427, 0.6253)

Main lines, sorted by position (2θ from 5° to 70°):
d [Å], Rel. int., hkl
7.186, 100, 0 0 1
6.494, 75, 0 1 1
5.122, 68, 1 0 0
4.087, 82, 1 0 1
3.964, 51, 0 1 2
3.899, 45, -1 1 1
3.336, 63, 0 2 0
3.146, 27, 1 2 1
2.243, 28, 1 -2 1
2.207, 29, 2 2 1